# PrAl8Co2
Theoretical XRD peak list, Cu Kα (λ = 1.5418 Å). Input: a cell relaxed with GGA-PBE.
Neutral-atom scattering factors, no anomalous dispersion.

Peak list (12 most intense, 2θ = 15–90°, sorted by position)
| 2θ (°) | d [Å] | I/Imax | index |
| --- | --- | --- | --- |
| 22.2 | 4.005 | 980 | 0 0 1 |
| 23.4 | 3.806 | 259 | 2 3 0 |
| 25.8 | 3.458 | 314 | 1 4 0 |
| 28.4 | 3.146 | 308 | 3 3 0 |
| 34.2 | 2.618 | 873 | 1 4 1 |
| 36.3 | 2.475 | 1000 | 3 3 1 |
| 37.0 | 2.429 | 395 | 4 1 1 |
| 44.1 | 2.053 | 382 | 5 4 0 |
| 45.2 | 2.004 | 530 | 0 0 2 |
| 46.5 | 1.954 | 408 | 2 7 0 |
| 49.9 | 1.827 | 267 | 5 4 1 |
| 52.1 | 1.756 | 249 | 2 7 1 |

```
data_PrAl8Co2
_space_group_name_H-M_alt 'P 1'
_space_group_IT_number 1
_cell_length_a 12.4983
_cell_length_b 14.3953
_cell_length_c 4.0088
_cell_angle_alpha 90.00
_cell_angle_beta 90.00
_cell_angle_gamma 90.00
loop_
_space_group_symop_operation_xyz
'x,y,z'
loop_
_atom_site_label
_atom_site_type_symbol
_atom_site_fract_x
_atom_site_fract_y
_atom_site_fract_z
Pr1 Pr 0.1595 0.1815 0.0000
Pr2 Pr 0.3405 0.6815 0.0000
Pr3 Pr 0.6595 0.3185 0.0000
Pr4 Pr 0.8405 0.8185 0.0000
Al1 Al 0.0000 0.0000 0.0000
Al2 Al 0.0000 0.5000 0.5000
Al3 Al 0.0263 0.8683 0.5000
Al4 Al 0.0469 0.3208 0.5000
Al5 Al 0.0964 0.7473 0.0000
Al6 Al 0.1590 0.6203 0.5000
Al7 Al 0.1598 0.4557 0.0000
Al8 Al 0.1689 0.0081 0.5000
Al9 Al 0.2364 0.8283 0.5000
Al10 Al 0.2636 0.3283 0.5000
Al11 Al 0.3311 0.5081 0.5000
Al12 Al 0.3402 0.9557 0.0000
Al13 Al 0.3410 0.1203 0.5000
Al14 Al 0.4036 0.2473 0.0000
Al15 Al 0.4531 0.8208 0.5000
Al16 Al 0.4737 0.3683 0.5000
Al17 Al 0.5000 0.0000 0.5000
Al18 Al 0.5000 0.5000 0.0000
Al19 Al 0.5263 0.6317 0.5000
Al20 Al 0.5469 0.1792 0.5000
Al21 Al 0.5964 0.7527 0.0000
Al22 Al 0.6590 0.8797 0.5000
Al23 Al 0.6598 0.0443 0.0000
Al24 Al 0.6689 0.4919 0.5000
Al25 Al 0.7364 0.6717 0.5000
Al26 Al 0.7636 0.1717 0.5000
Al27 Al 0.8311 0.9919 0.5000
Al28 Al 0.8402 0.5443 0.0000
Al29 Al 0.8410 0.3797 0.5000
Al30 Al 0.9036 0.2527 0.0000
Al31 Al 0.9531 0.6792 0.5000
Al32 Al 0.9737 0.1317 0.5000
Co1 Co 0.0345 0.5942 0.0000
Co2 Co 0.1520 0.9039 0.0000
Co3 Co 0.3480 0.4039 0.0000
Co4 Co 0.4655 0.0942 0.0000
Co5 Co 0.5345 0.9058 0.0000
Co6 Co 0.6520 0.5961 0.0000
Co7 Co 0.8480 0.0961 0.0000
Co8 Co 0.9655 0.4058 0.0000
```